# Mg5Hg2Sb3
Computed XRD peak list, λ = 1.5418 Å (Cu Kα). Input: a DFT-relaxed cell (PBE, Alexandria).
No peak broadening, texture or thermal motion is included.

Structural model:
abc: 14.746 14.746 7.618
angles: 90.00 90.00 161.86
Element x y z (fractional)
Mg: 0.044 0.956 0.500
Mg: 0.122 0.878 0.842
Mg: 0.297 0.703 0.549
Mg: 0.300 0.700 0.065
Mg: 0.396 0.604 0.737
Mg: 0.604 0.396 0.237
Mg: 0.700 0.300 0.565
Mg: 0.703 0.297 0.049
Mg: 0.878 0.122 0.342
Mg: 0.956 0.044 0.000
Hg: 0.170 0.830 0.275
Hg: 0.490 0.510 0.349
Hg: 0.510 0.490 0.849
Hg: 0.830 0.170 0.775
Sb: 0.054 0.946 0.116
Sb: 0.223 0.777 0.816
Sb: 0.399 0.601 0.122
Sb: 0.601 0.399 0.622
Sb: 0.777 0.223 0.316
Sb: 0.946 0.054 0.616

Most intense lines, 2θ = 15–90°, low angle first:
two_theta, I (rel.)
21.19, 38
24.22, 40
27.16, 25
29.82, 27
31.15, 41
31.74, 100
32.93, 30
33.75, 35
34.09, 23
38.74, 37